Structure and theoretical powder diffraction line list of YFeW2O8 (a crystal structure in Alexandria, relaxed with GGA+U; copper Kα).

Most intense lines, 15° ≤ 2θ ≤ 90°, by angle:
17.66°, intensity 75; 23.36°, intensity 100; 27.99°, intensity 98; 28.42°, intensity 98; 29.65°, intensity 84; 30.12°, intensity 83; 34.48°, intensity 57; 35.61°, intensity 37; 35.75°, intensity 39; 50.26°, intensity 69

Atomic structure:
```
data_YFeW2O8
_cell_length_a 5.2198
_cell_length_b 5.8436
_cell_length_c 10.0759
_cell_angle_alpha 89.97
_cell_angle_beta 85.52
_cell_angle_gamma 88.61
_symmetry_space_group_name_H-M 'P -1'
_symmetry_Int_Tables_number 2
_symmetry_space_group_name_Hall '-P 1'
loop_
_atom_site_label
_atom_site_type_symbol
_atom_site_fract_x
_atom_site_fract_y
_atom_site_fract_z
Y1 Y 0.2447 0.1835 0.2600
Fe1 Fe 0.2483 0.1901 0.7366
W1 W 0.2424 0.6664 0.4940
W2 W 0.2484 0.6693 0.0058
O1 O 0.0419 0.4223 0.6185
O2 O 0.0542 0.3871 0.0962
O3 O 0.0885 0.8623 0.1327
O4 O 0.1206 0.8929 0.6180
O5 O 0.3875 0.8746 0.8850
O6 O 0.4021 0.8682 0.3547
O7 O 0.4303 0.3840 0.4064
O8 O 0.4571 0.4058 0.8929
```